No. 1
This entry pairs a crystal structure of BaO4F5 with its computed powder diffraction line list. Radiation: copper Kα. Structure: the GGA-PBE geometry in Alexandria.

Structure:
Cell: 10.488 5.396 7.440 Å, 90.00 134.77 90.00°
Space group C2 (No. 5)
Asymmetric unit:
1 Ba 0.000 0.000 0.000 (multiplicity 2)
2 O 0.003 0.457 0.584 (multiplicity 4)
3 O 0.081 0.959 0.576 (multiplicity 4)
4 F 0.000 0.493 0.000 (multiplicity 2)
5 F 0.174 0.789 0.463 (multiplicity 4)
6 F 0.209 0.288 0.884 (multiplicity 4)

Peak list (8 most intense, 2θ from 10° to 90°, sorted by position)
d 4.368, 2θ = 20.3°, I 100, hkl 1 1 0
d 3.721, 2θ = 23.9°, I 62, hkl 2 0 0
d 2.839, 2θ = 31.5°, I 49, hkl 1 1 -2
d 2.827, 2θ = 31.7°, I 48, hkl 3 1 -1
d 2.641, 2θ = 33.9°, I 31, hkl 0 0 2
d 2.622, 2θ = 34.2°, I 30, hkl 4 0 -2
d 2.401, 2θ = 37.5°, I 23, hkl 2 2 -1
d 2.184, 2θ = 41.3°, I 79, hkl 2 2 -2

No. 2
This entry pairs a crystal structure of TmMg9Zn2 with its computed powder diffraction line list. Radiation: copper Kα. Structure: the GGA-PBE geometry in Alexandria.

Structure:
Cell: 11.871 11.871 7.498 Å, 90.00 90.00 90.00°
Space group I4_1/amd (No. 141, origin choice 2)
Asymmetric unit:
1 Tm 0.000 0.250 0.375 (multiplicity 4)
2 Mg 0.000 0.250 0.875 (multiplicity 4)
3 Mg 0.122 0.054 0.680 (multiplicity 32)
4 Zn 0.000 0.000 0.000 (multiplicity 8)

Peak list (8 most intense, 2θ from 10° to 90°, sorted by position)
d 4.333, 2θ = 20.5°, I 69, hkl 2 1 1
d 3.423, 2θ = 26.0°, I 22, hkl 1 1 2
d 3.014, 2θ = 29.6°, I 53, hkl 3 2 1
d 2.653, 2θ = 33.8°, I 100, hkl 4 2 0
d 2.446, 2θ = 36.7°, I 24, hkl 1 0 3
d 1.888, 2θ = 48.2°, I 24, hkl 6 1 1
d 1.532, 2θ = 60.4°, I 25, hkl 5 5 2
d 1.327, 2θ = 71.1°, I 23, hkl 8 4 0

No. 3
This entry pairs a crystal structure of LaTb2Zn3 with its computed powder diffraction line list. Radiation: copper Kα. Structure: the GGA-PBE geometry in Alexandria.

Structure:
Cell: 3.629 3.629 10.996 Å, 90.00 90.00 90.00°
Space group P4/mmm (No. 123)
Asymmetric unit:
1 La 0.000 0.000 0.000 (multiplicity 1)
2 Tb 0.000 0.000 0.339 (multiplicity 2)
3 Zn 0.500 0.500 0.184 (multiplicity 2)
4 Zn 0.500 0.500 0.500 (multiplicity 1)

Peak list (8 most intense, 2θ from 10° to 90°, sorted by position)
d 3.665, 2θ = 24.3°, I 9, hkl 0 0 3
d 3.629, 2θ = 24.5°, I 16, hkl 1 0 0
d 2.579, 2θ = 34.8°, I 100, hkl 1 0 3
d 2.566, 2θ = 35.0°, I 51, hkl 1 1 0
d 1.815, 2θ = 50.3°, I 18, hkl 2 0 0
d 1.491, 2θ = 62.2°, I 17, hkl 1 1 6
d 1.484, 2θ = 62.6°, I 36, hkl 2 1 3
d 1.290, 2θ = 73.4°, I 10, hkl 2 0 6

No. 4
This entry pairs a crystal structure of HfGaAg with its computed powder diffraction line list. Radiation: copper Kα. Structure: the GGA-PBE geometry in Alexandria.

Structure:
Cell: 2.943 14.781 5.034 Å, 90.00 90.00 90.00°
Space group Amm2 (No. 38)
Asymmetric unit:
1 Hf 0.000 0.177 0.000 (multiplicity 4)
2 Ga 0.500 0.152 0.498 (multiplicity 4)
3 Ag 0.000 0.000 0.684 (multiplicity 2)
4 Ag 0.500 0.000 0.176 (multiplicity 2)

Peak list (8 most intense, 2θ from 10° to 90°, sorted by position)
d 3.521, 2θ = 25.3°, I 17, hkl 0 3 1
d 2.517, 2θ = 35.7°, I 14, hkl 0 0 2
d 2.504, 2θ = 35.9°, I 22, hkl 1 1 1
d 2.463, 2θ = 36.5°, I 39, hkl 0 6 0
d 2.383, 2θ = 37.8°, I 30, hkl 0 2 2
d 2.258, 2θ = 39.9°, I 100, hkl 1 3 1
d 2.080, 2θ = 43.5°, I 16, hkl 0 4 2
d 1.379, 2θ = 68.0°, I 15, hkl 1 9 1

No. 5
This entry pairs a crystal structure of TbTm3Pb5 with its computed powder diffraction line list. Radiation: copper Kα. Structure: the GGA-PBE geometry in Alexandria.

Structure:
Cell: 9.4980 9.4980 6.5085 Å, 90.00 90.00 120.00°
Space group P6_3/mcm (No. 193)
Asymmetric unit:
1 Tb 0.0000 0.0000 0.0000 (multiplicity 2)
2 Tm 0.0000 0.3796 0.2500 (multiplicity 6)
3 Pb 0.0000 0.2920 0.7500 (multiplicity 6)
4 Pb 0.3333 0.6667 0.0000 (multiplicity 4)

Peak list (8 most intense, 2θ from 10° to 90°, sorted by position)
d 2.805, 2θ = 31.9°, I 34, hkl 2 1 1
d 2.742, 2θ = 32.7°, I 94, hkl 3 0 0
d 2.684, 2θ = 33.4°, I 100, hkl 1 1 2
d 2.153, 2θ = 42.0°, I 14, hkl 3 1 1
d 1.918, 2θ = 47.4°, I 30, hkl 2 2 2
d 1.572, 2θ = 58.7°, I 31, hkl 4 1 2
d 1.399, 2θ = 66.9°, I 25, hkl 3 0 4
d 1.221, 2θ = 78.3°, I 13, hkl 5 2 2

No. 6
This entry pairs a crystal structure of Ta2Nb3Rh2 with its computed powder diffraction line list. Radiation: copper Kα. Structure: the GGA-PBE geometry in Alexandria.

Structure:
Cell: 4.5744 4.5744 19.6773 Å, 90.00 90.00 120.00°
Space group R-3m (No. 166, hexagonal axes)
Asymmetric unit:
1 Ta 0.0000 0.0000 0.2134 (multiplicity 6)
2 Nb 0.0000 0.0000 0.3589 (multiplicity 6)
3 Nb 0.0000 0.0000 0.5000 (multiplicity 3)
4 Rh 0.0000 0.0000 0.0733 (multiplicity 6)

Peak list (8 most intense, 2θ from 10° to 90°, sorted by position)
d 6.559, 2θ = 13.5°, I 4, hkl 0 0 3
d 3.675, 2θ = 24.2°, I 4, hkl 0 1 2
d 2.290, 2θ = 39.3°, I 100, hkl 1 1 0
d 1.619, 2θ = 56.9°, I 17, hkl 0 2 7
d 1.325, 2θ = 71.2°, I 8, hkl 0 1 14
d 1.321, 2θ = 71.4°, I 25, hkl 3 0 0
d 1.146, 2θ = 84.5°, I 5, hkl 2 0 14
d 1.144, 2θ = 84.8°, I 5, hkl 2 2 0

No. 7
This entry pairs a crystal structure of Ce2Dy2Pb7 with its computed powder diffraction line list. Radiation: copper Kα. Structure: the GGA-PBE geometry in Alexandria.

Structure:
Cell: 9.188 11.027 7.272 Å, 90.00 90.00 90.00°
Space group Cmmm (No. 65)
Asymmetric unit:
1 Ce 0.155 0.000 0.000 (multiplicity 4)
2 Dy 0.000 0.280 0.500 (multiplicity 4)
3 Pb 0.000 0.000 0.500 (multiplicity 2)
4 Pb 0.000 0.500 0.206 (multiplicity 4)
5 Pb 0.250 0.250 0.216 (multiplicity 8)

Peak list (8 most intense, 2θ from 10° to 90°, sorted by position)
d 3.884, 2θ = 22.9°, I 43, hkl 2 0 1
d 3.529, 2θ = 25.2°, I 75, hkl 2 2 0
d 3.232, 2θ = 27.6°, I 48, hkl 1 1 2
d 2.757, 2θ = 32.5°, I 71, hkl 0 4 0
d 2.533, 2θ = 35.4°, I 100, hkl 2 2 2
d 2.488, 2θ = 36.1°, I 44, hkl 1 3 2
d 2.296, 2θ = 39.2°, I 32, hkl 4 0 0
d 1.427, 2θ = 65.4°, I 32, hkl 4 4 3

No. 8
This entry pairs a crystal structure of U5As4C with its computed powder diffraction line list. Radiation: copper Kα. Structure: the GGA-PBE geometry in Alexandria.

Structure:
Cell: 8.863 8.863 5.678 Å, 90.00 90.00 90.00°
Space group I4/m (No. 87)
Asymmetric unit:
1 U 0.000 0.000 0.000 (multiplicity 2)
2 U 0.092 0.263 0.500 (multiplicity 8)
3 As 0.084 0.308 0.000 (multiplicity 8)
4 C 0.000 0.000 0.500 (multiplicity 2)

Peak list (8 most intense, 2θ from 10° to 90°, sorted by position)
d 3.250, 2θ = 27.4°, I 92, hkl 2 1 1
d 2.839, 2θ = 31.5°, I 57, hkl 0 0 2
d 2.803, 2θ = 31.9°, I 100, hkl 1 3 0
d 2.256, 2θ = 40.0°, I 19, hkl 3 2 1
d 1.994, 2θ = 45.5°, I 76, hkl 1 3 2
d 1.982, 2θ = 45.8°, I 30, hkl 4 2 0
d 1.625, 2θ = 56.6°, I 33, hkl 4 2 2
d 1.266, 2θ = 75.0°, I 18, hkl 1 3 4